No. 1
Simulated X-ray powder pattern
Compound: Fe7O3F9
Radiation: a wavelength of 1.5418 Å
Structure: a structure optimized by DFT (PBE+U)

a = 5.495 Å, b = 5.705 Å, c = 9.130 Å
α = 75.42°, β = 89.51°, γ = 62.14°
Fractional positions:
Fe (0.000, 0.000, 0.000)
Fe (0.012, 0.239, 0.360)
Fe (0.170, 0.243, 0.743)
Fe (0.278, 0.465, 0.103)
Fe (0.454, 0.480, 0.509)
Fe (0.541, 0.730, 0.858)
Fe (0.710, 0.014, 0.589)
O (0.240, 0.120, 0.939)
O (0.309, 0.206, 0.553)
O (0.736, 0.379, 0.699)
F (0.139, 0.829, 0.626)
F (0.210, 0.449, 0.306)
F (0.242, 0.879, 0.205)
F (0.292, 0.569, 0.897)
F (0.703, 0.967, 0.790)
F (0.712, 0.636, 0.475)
F (0.722, 0.305, 0.155)
F (0.770, 0.075, 0.404)
F (0.858, 0.732, 0.031)

Most intense lines, 10° ≤ 2θ ≤ 90°, sorted by position:
2θ 18.3, I 86
2θ 22.2, I 39
2θ 25.5, I 100
2θ 31.9, I 62
2θ 33.8, I 53
2θ 34.3, I 44
2θ 36.5, I 42
2θ 37.1, I 60
2θ 50.1, I 59
2θ 51.3, I 42

=====

No. 2
Simulated X-ray powder pattern
Compound: Fe5O2F8
Radiation: a wavelength of 1.5418 Å
Structure: a structure optimized by DFT (PBE+U)

a = 4.789 Å, b = 16.148 Å, c = 4.789 Å
α = 90.00°, β = 90.71°, γ = 90.00°
Fractional positions:
Fe (0.000, 0.000, 0.000)
Fe (0.028, 0.401, 0.976)
Fe (0.028, 0.599, 0.976)
Fe (0.037, 0.206, 0.976)
Fe (0.037, 0.794, 0.976)
Fe (0.499, 0.299, 0.444)
Fe (0.499, 0.701, 0.444)
Fe (0.537, 0.095, 0.468)
Fe (0.537, 0.905, 0.468)
Fe (0.568, 0.500, 0.517)
O (0.207, 0.313, 0.152)
O (0.207, 0.687, 0.152)
O (0.728, 0.000, 0.264)
O (0.845, 0.500, 0.793)
F (0.222, 0.097, 0.167)
F (0.222, 0.903, 0.167)
F (0.236, 0.500, 0.185)
F (0.304, 0.000, 0.692)
F (0.329, 0.198, 0.668)
F (0.329, 0.802, 0.668)
F (0.330, 0.410, 0.672)
F (0.330, 0.590, 0.672)
F (0.724, 0.411, 0.278)
F (0.724, 0.589, 0.278)
F (0.729, 0.201, 0.269)
F (0.729, 0.799, 0.269)
F (0.811, 0.313, 0.757)
F (0.811, 0.687, 0.757)
F (0.838, 0.099, 0.782)
F (0.838, 0.901, 0.782)

Most intense lines, 10° ≤ 2θ ≤ 90°, sorted by position:
2θ 26.2, I 86
2θ 26.5, I 86
2θ 33.5, I 100
2θ 38.4, I 18
2θ 38.6, I 18
2θ 51.0, I 57
2θ 51.4, I 51
2θ 53.8, I 18
2θ 57.0, I 17
2θ 65.2, I 37

=====

No. 3
Simulated X-ray powder pattern
Compound: Fe5O8F2
Radiation: a wavelength of 1.5418 Å
Structure: a structure optimized by DFT (PBE+U)

a = 4.640 Å, b = 4.640 Å, c = 15.143 Å
α = 90.18°, β = 90.18°, γ = 90.03°
Fractional positions:
Fe (0.000, 0.000, 0.000)
Fe (0.006, 0.988, 0.795)
Fe (0.012, 0.994, 0.205)
Fe (0.037, 0.008, 0.599)
Fe (0.505, 0.479, 0.705)
Fe (0.515, 0.485, 0.500)
Fe (0.521, 0.495, 0.295)
Fe (0.531, 0.466, 0.901)
Fe (0.534, 0.469, 0.099)
Fe (0.992, 0.963, 0.401)
O (0.202, 0.791, 0.301)
O (0.208, 0.792, 0.500)
O (0.209, 0.798, 0.699)
O (0.319, 0.285, 0.804)
O (0.326, 0.292, 0.198)
O (0.329, 0.286, 0.000)
O (0.334, 0.308, 0.600)
O (0.692, 0.666, 0.400)
O (0.708, 0.674, 0.802)
O (0.714, 0.671, 0.000)
O (0.715, 0.681, 0.196)
O (0.812, 0.177, 0.304)
O (0.821, 0.179, 0.500)
O (0.823, 0.188, 0.696)
O (0.828, 0.165, 0.897)
O (0.835, 0.172, 0.103)
F (0.214, 0.782, 0.901)
F (0.218, 0.786, 0.099)
F (0.309, 0.283, 0.399)
F (0.717, 0.691, 0.601)

Most intense lines, 10° ≤ 2θ ≤ 90°, sorted by position:
2θ 27.2, I 100
2θ 35.3, I 27
2θ 35.4, I 26
2θ 38.8, I 10
2θ 40.5, I 11
2θ 53.5, I 29
2θ 53.6, I 30
2θ 56.1, I 16
2θ 68.0, I 10
2θ 68.2, I 13